[1]
For MgSc, a cell relaxed with PBE gives the calculated X-ray powder pattern in this record (a wavelength of 1.5418 Å).

The 10 most intense peaks (2θ = 10–90°), by intensity:
2θ = 36.49°, intensity 100, (3 1 0)
2θ = 36.64°, intensity 94, (1 1 -2)
2θ = 34.11°, intensity 76, (4 0 -2)
2θ = 36.36°, intensity 48, (0 0 3)
2θ = 36.06°, intensity 46, (4 0 1)
2θ = 32.20°, intensity 44, (1 1 1)
2θ = 56.92°, intensity 31, (3 1 3)
2θ = 31.80°, intensity 26, (2 0 2)
2θ = 11.94°, intensity 21, (0 0 1)
2θ = 47.52°, intensity 21, (2 0 -4)

Crystal structure
Lattice parameters (Å, degrees): 11.975 3.197 7.664 90.00 104.72 90.00
Space group Cm (No. 8)
Symmetry-distinct sites (fractional):
Mg 0.000 0.000 0.000 (multiplicity 2)
Mg 0.060 0.000 0.614 (multiplicity 2)
Mg 0.340 0.000 0.670 (multiplicity 2)
Sc 0.175 0.500 0.340 (multiplicity 2)
Sc 0.219 0.500 0.951 (multiplicity 2)
Sc 0.395 0.000 0.278 (multiplicity 2)

***

[2]
For MgSc4Se5, a cell relaxed with PBE gives the calculated X-ray powder pattern in this record (a wavelength of 1.5418 Å).

The 10 most intense peaks (2θ = 10–90°), by intensity:
2θ = 46.85°, intensity 100, (3 1 2)
2θ = 32.61°, intensity 96, (3 1 0)
2θ = 32.73°, intensity 48, (0 0 2)
2θ = 58.27°, intensity 34, (2 4 2)
2θ = 28.18°, intensity 29, (1 2 1)
2θ = 77.81°, intensity 28, (6 2 2)
2θ = 86.97°, intensity 21, (5 5 2)
2θ = 78.04°, intensity 14, (3 1 4)
2θ = 87.16°, intensity 11, (2 4 4)
2θ = 68.33°, intensity 10, (6 2 0)

Crystal structure
Lattice parameters (Å, degrees): 8.683 8.683 5.472 90.00 90.00 90.00
Space group I4 (No. 79)
Symmetry-distinct sites (fractional):
Mg 0.000 0.000 0.000 (multiplicity 2)
Sc 0.098 0.694 0.499 (multiplicity 8)
Se 0.000 0.000 0.500 (multiplicity 2)
Se 0.099 0.707 0.999 (multiplicity 8)

***

[3]
For MgSc3Se4, a cell relaxed with PBE gives the calculated X-ray powder pattern in this record (a wavelength of 1.5418 Å).

The 10 most intense peaks (2θ = 10–90°), by intensity:
2θ = 32.62°, intensity 100, (0 1 8)
2θ = 46.54°, intensity 35, (1 0 16)
2θ = 47.05°, intensity 35, (1 1 0)
2θ = 58.42°, intensity 18, (2 0 8)
2θ = 28.25°, intensity 16, (1 0 4)
2θ = 78.17°, intensity 15, (1 2 8)
2θ = 77.40°, intensity 15, (1 1 24)
2θ = 87.10°, intensity 11, (2 1 16)
2θ = 68.33°, intensity 11, (0 2 16)
2θ = 57.54°, intensity 6, (0 0 24)

Crystal structure
Lattice parameters (Å, degrees): 3.8625 3.8625 38.4455 90.00 90.00 120.00
Space group R-3m (No. 166, hexagonal axes)
Symmetry-distinct sites (fractional):
Mg 0.0000 0.0000 0.0000 (multiplicity 3)
Sc 0.0000 0.0000 0.2469 (multiplicity 6)
Sc 0.0000 0.0000 0.5000 (multiplicity 3)
Se 0.0000 0.0000 0.1257 (multiplicity 6)
Se 0.0000 0.0000 0.3750 (multiplicity 6)

***

[4]
For MgSc2Se3, a cell relaxed with PBE gives the calculated X-ray powder pattern in this record (a wavelength of 1.5418 Å).

The 10 most intense peaks (2θ = 10–90°), by intensity:
2θ = 32.56°, intensity 100, (1 0 3)
2θ = 46.86°, intensity 69, (1 2 3)
2θ = 32.76°, intensity 49, (0 2 0)
2θ = 45.94°, intensity 18, (0 0 6)
2θ = 57.57°, intensity 18, (0 2 6)
2θ = 27.86°, intensity 18, (0 1 3)
2θ = 58.88°, intensity 17, (2 2 0)
2θ = 28.45°, intensity 17, (1 1 0)
2θ = 47.47°, intensity 17, (2 0 0)
2θ = 78.07°, intensity 15, (1 4 3)

Crystal structure
Lattice parameters (Å, degrees): 3.830 5.468 11.852 90.00 90.00 90.00
Space group Immm (No. 71)
Symmetry-distinct sites (fractional):
Mg 0.000 0.000 0.000 (multiplicity 2)
Sc 0.000 0.000 0.330 (multiplicity 4)
Se 0.000 0.500 0.000 (multiplicity 2)
Se 0.000 0.500 0.339 (multiplicity 4)

***

[5]
For Tm3MgSc3Se8, a cell relaxed with PBE gives the calculated X-ray powder pattern in this record (a wavelength of 1.5418 Å).

The 10 most intense peaks (2θ = 10–90°), by intensity:
2θ = 32.18°, intensity 100, (0 2 4)
2θ = 46.22°, intensity 36, (2 2 0)
2θ = 46.08°, intensity 36, (2 0 8)
2θ = 13.77°, intensity 22, (0 0 3)
2θ = 57.44°, intensity 19, (4 0 4)
2θ = 26.59°, intensity 18, (0 2 1)
2θ = 76.70°, intensity 16, (2 4 4)
2θ = 76.48°, intensity 16, (2 2 12)
2θ = 85.56°, intensity 12, (4 2 8)
2θ = 15.93°, intensity 11, (0 1 2)

Crystal structure
Lattice parameters (Å, degrees): 7.8559 7.8559 19.3308 90.00 90.00 120.00
Space group R-3m (No. 166, hexagonal axes)
Symmetry-distinct sites (fractional):
Tm 0.0000 0.5000 0.0000 (multiplicity 9)
Mg 0.0000 0.0000 0.5000 (multiplicity 3)
Sc 0.0000 0.5000 0.5000 (multiplicity 9)
Se 0.0000 0.0000 0.2467 (multiplicity 6)
Se 0.0014 0.5007 0.7527 (multiplicity 18)

***

[6]
For SmMgSc2, a cell relaxed with PBE gives the calculated X-ray powder pattern in this record (a wavelength of 1.5418 Å).

The 10 most intense peaks (2θ = 10–90°), by intensity:
2θ = 33.08°, intensity 100, (1 0 2)
2θ = 10.28°, intensity 63, (0 0 1)
2θ = 27.62°, intensity 45, (1 0 1)
2θ = 36.47°, intensity 40, (1 1 0)
2θ = 63.50°, intensity 29, (2 1 2)
2θ = 56.81°, intensity 18, (1 1 4)
2θ = 48.72°, intensity 14, (1 1 3)
2θ = 52.53°, intensity 13, (2 0 0)
2θ = 31.18°, intensity 12, (0 0 3)
2θ = 37.99°, intensity 12, (1 1 1)

Crystal structure
Lattice parameters (Å, degrees): 3.484 3.484 8.607 90.00 90.00 90.00
Space group P4/mmm (No. 123)
Symmetry-distinct sites (fractional):
Sm 0.000 0.000 0.000 (multiplicity 1)
Mg 0.000 0.000 0.500 (multiplicity 1)
Sc 0.500 0.500 0.277 (multiplicity 2)